# 1
The following is a computed powder X-ray diffraction pattern of Mn3V3Ag2O12. It was derived from DFT lattice parameters and positions (PBE+U), using Cu Kα (weighted mean of Kα1 and Kα2).

Largest 12 diffraction maxima, sorted by position, 10 to 90 degrees two-theta:
2θ/deg, I (rel.), hkl
20.6, 25, 2 2 0
29.9, 60, 3 1 -2
31.0, 100, 2 4 0
31.9, 35, 4 0 0
32.3, 42, 1 1 2
32.8, 64, 1 3 -2
37.6, 14, 1 3 2
44.7, 22, 5 3 -2
48.0, 22, 3 3 2
53.0, 21, 2 0 -4
56.6, 15, 3 7 -2
61.4, 16, 4 4 -4

Structural model:
```
data_Mn3V3Ag2O12
_chemical_formula_sum 'Mn12 V12 Ag8 O48'
_symmetry_space_group_name_H-M 'C 1 2/c 1'
_symmetry_Int_Tables_number 15
_cell_length_a 12.066
_cell_length_b 13.427
_cell_length_c 6.932
_cell_angle_alpha 90.00
_cell_angle_beta 111.60
_cell_angle_gamma 90.00
loop_
_symmetry_equiv_pos_as_xyz
'x,y,z'
'-x,-y,-z'
'-x,y,-z+1/2'
'x,-y,z+1/2'
'x+1/2,y+1/2,z'
'-x+1/2,-y+1/2,-z'
'-x+1/2,y+1/2,-z+1/2'
'x+1/2,-y+1/2,z+1/2'
loop_
_atom_site_label
_atom_site_type_symbol
_atom_site_fract_x
_atom_site_fract_y
_atom_site_fract_z
Mn1 Mn 0.000 0.230 0.250
Mn2 Mn 0.208 0.339 0.117
V1 V 0.000 0.207 0.750
V2 V 0.228 0.388 0.619
Ag1 Ag 0.000 0.000 0.000
Ag2 Ag 0.000 0.493 0.750
O1 O 0.039 0.278 0.982
O2 O 0.115 0.126 0.758
O3 O 0.122 0.099 0.326
O4 O 0.157 0.495 0.098
O5 O 0.162 0.326 0.378
O6 O 0.214 0.319 0.826
```


# 2
The following is a computed powder X-ray diffraction pattern of Ag2MoO4. It was derived from DFT lattice parameters and positions (PBE+U), using Cu Kα (weighted mean of Kα1 and Kα2).

Largest 12 diffraction maxima, sorted by position, 10 to 90 degrees two-theta:
2θ/deg, I (rel.), hkl
26.6, 23, 2 2 0
31.3, 100, 3 1 1
32.8, 22, 2 2 2
38.0, 15, 4 0 0
47.0, 8, 4 2 2
50.1, 31, 3 3 3
54.9, 39, 4 4 0
64.6, 11, 5 3 3
65.4, 11, 6 2 2
77.5, 21, 7 3 1
81.3, 6, 8 0 0
89.7, 11, 7 5 1

Structural model:
Unit cell a=9.465 b=9.465 c=9.465 alpha=90.00 beta=90.00 gamma=90.00
Space group Fd-3m (No. 227, origin choice 2)
Inequivalent atoms, fractional coordinates:
Ag 0.000 0.000 0.000 [16 per cell]
Mo 0.125 0.125 0.625 [8 per cell]
O 0.015 0.015 0.735 [32 per cell]


# 3
The following is a computed powder X-ray diffraction pattern of Ag2Mo2O7. It was derived from DFT lattice parameters and positions (PBE+U), using Cu Kα (weighted mean of Kα1 and Kα2).

Largest 12 diffraction maxima, sorted by position, 10 to 90 degrees two-theta:
2θ/deg, I (rel.), hkl
24.1, 25, 1 1 -2
26.7, 45, 1 2 -2
27.0, 36, 0 2 2
30.7, 74, 2 0 0
30.8, 100, 1 4 0
31.0, 29, 0 3 2
31.5, 19, 2 1 0
32.3, 25, 2 1 -2
33.1, 21, 1 1 2
44.9, 20, 1 0 -4
49.2, 22, 3 3 -2
54.8, 27, 3 0 -4

Structural model:
```
data_Ag2Mo2O7
_chemical_formula_sum 'Ag8 Mo8 O28'
_symmetry_space_group_name_H-M 'P 1 21/c 1'
_symmetry_Int_Tables_number 14
_cell_length_a 6.197
_cell_length_b 13.398
_cell_length_c 8.084
_cell_angle_alpha 90.00
_cell_angle_beta 110.31
_cell_angle_gamma 90.00
loop_
_symmetry_equiv_pos_as_xyz
'x,y,z'
'-x,-y,-z'
'-x,y+1/2,-z+1/2'
'x,-y+1/2,z+1/2'
loop_
_atom_site_label
_atom_site_type_symbol
_atom_site_fract_x
_atom_site_fract_y
_atom_site_fract_z
Ag1 Ag 0.043 0.095 0.408
Ag2 Ag 0.422 0.728 0.972
Mo1 Mo 0.022 0.121 0.898
Mo2 Mo 0.470 0.005 0.197
O1 O 0.062 0.623 0.837
O2 O 0.148 0.043 0.154
O3 O 0.170 0.236 0.966
O4 O 0.254 0.639 0.570
O5 O 0.321 0.043 0.918
O6 O 0.393 0.621 0.226
O7 O 0.442 0.071 0.613
```